Entry 1:
LiP4Br12O4: computed powder diffractogram (Cu Kα (weighted mean of Kα1 and Kα2)), based on a crystal structure in the Materials Project, relaxed with GGA-PBE.
Lines closer than 0.1° are merged.

Atomic structure:
```
data_LiP4Br12O4
_chemical_formula_sum 'Li1 P4 Br12 O4'
_cell_length_a 6.8137
_cell_length_b 9.9336
_cell_length_c 11.0154
_cell_angle_alpha 90.15
_cell_angle_beta 90.09
_cell_angle_gamma 94.34
_symmetry_space_group_name_H-M 'P 1'
_symmetry_Int_Tables_number 1
_symmetry_space_group_name_Hall 'P 1'
loop_
_atom_site_label
_atom_site_type_symbol
_atom_site_fract_x
_atom_site_fract_y
_atom_site_fract_z
Li1 Li 0.0000 0.0000 0.0000
P1 P 0.1345 0.6782 0.0009
P2 P 0.4163 0.1785 0.9996
P3 P 0.6128 0.8012 0.4993
P4 P 0.9022 0.2993 0.4999
Br1 Br 0.1241 0.4717 0.5008
Br2 Br 0.1889 0.1460 0.8306
Br3 Br 0.1891 0.1486 0.1683
Br4 Br 0.3135 0.6403 0.8417
Br5 Br 0.3146 0.6408 0.1599
Br6 Br 0.4189 0.9676 0.4997
Br7 Br 0.6263 0.9822 0.0000
Br8 Br 0.7118 0.3331 0.3427
Br9 Br 0.7148 0.3306 0.6589
Br10 Br 0.8056 0.8373 0.6585
Br11 Br 0.8088 0.8394 0.3426
Br12 Br 0.8933 0.5206 0.0007
O1 O 0.0650 0.8165 0.0010
O2 O 0.5061 0.6661 0.4979
O3 O 0.5283 0.3125 0.9992
O4 O 0.9861 0.1667 0.4983
```

Main lines, sorted by position (10° ≤ 2θ ≤ 90°):
index, d [Å], I/Imax
1 0 -1, 5.789, 42.3
0 2 1, 4.517, 77.1
1 -2 0, 4.155, 59.3
1 -2 1, 3.887, 49.4
1 2 0, 3.864, 77.6
1 0 -3, 3.230, 100.0
0 2 3, 2.950, 37.7
1 3 0, 2.889, 33.8
2 -3 3, 2.045, 33.2
0 0 6, 1.837, 37.9



Entry 2:
LiP4Br12O4: computed powder diffractogram (Cu Kα (weighted mean of Kα1 and Kα2)), based on a crystal structure in the Materials Project, relaxed with GGA-PBE.
Lines closer than 0.1° are merged.

Atomic structure:
```
data_LiP4Br12O4
_chemical_formula_sum 'Li1 P4 Br12 O4'
_cell_length_a 6.6904
_cell_length_b 10.1143
_cell_length_c 10.7518
_cell_angle_alpha 91.35
_cell_angle_beta 91.28
_cell_angle_gamma 94.90
_symmetry_space_group_name_H-M 'P 1'
_symmetry_Int_Tables_number 1
_symmetry_space_group_name_Hall 'P 1'
loop_
_atom_site_label
_atom_site_type_symbol
_atom_site_fract_x
_atom_site_fract_y
_atom_site_fract_z
Li1 Li 0.0000 0.0000 0.0000
P1 P 0.0238 0.7627 0.1974
P2 P 0.3036 0.2641 0.1972
P3 P 0.5274 0.6410 0.6977
P4 P 0.8134 0.1371 0.6969
Br1 Br 0.0287 0.9830 0.7128
Br2 Br 0.1029 0.2844 0.0295
Br3 Br 0.1140 0.3010 0.3558
Br4 Br 0.2126 0.7852 0.3833
Br5 Br 0.2189 0.8113 0.0003
Br6 Br 0.2966 0.4725 0.6944
Br7 Br 0.5261 0.4347 0.1925
Br8 Br 0.6164 0.0765 0.5377
Br9 Br 0.6297 0.1021 0.8652
Br10 Br 0.7173 0.6118 0.8629
Br11 Br 0.7197 0.6049 0.5391
Br12 Br 0.7953 0.9401 0.1870
O1 O 0.3856 0.1332 0.1951
O2 O 0.4452 0.7719 0.6963
O3 O 0.9066 0.6312 0.1872
O4 O 0.9117 0.2732 0.6930
```

Main lines, sorted by position (10° ≤ 2θ ≤ 90°):
index, d [Å], I/Imax
0 2 -1, 4.606, 59.3
0 2 1, 4.517, 54.9
1 -2 0, 4.196, 100.0
1 -2 1, 3.921, 57.6
1 2 0, 3.861, 87.6
1 0 -3, 3.188, 78.7
1 0 3, 3.123, 91.8
2 -1 1, 3.090, 41.4
0 4 2, 2.258, 41.3
2 -3 3, 2.036, 47.8